# Sr2Be2VO6
Simulated X-ray diffraction stick pattern, CuKα. Input: a crystal structure in Alexandria, relaxed with GGA+U.

Top 10 peaks for 10 to 90 degrees two-theta, most intense first:
| 2θ (°) | d_spacing | I (rel.) |
| --- | --- | --- |
| 34.9 | 2.571 | 100.0 |
| 33.4 | 2.683 | 94.7 |
| 45.6 | 1.991 | 77.4 |
| 30.1 | 2.968 | 57.8 |
| 40.6 | 2.225 | 54.8 |
| 20.0 | 4.449 | 41.7 |
| 64.5 | 1.445 | 34.1 |
| 60.7 | 1.526 | 31.6 |
| 22.3 | 3.981 | 30.7 |
| 49.1 | 1.856 | 25.0 |

abc: 6.005 6.005 6.005
angles: 53.07 53.07 53.07
Sites, in units of the cell vectors:
Sr: 0.221 0.221 0.221
Sr: 0.779 0.779 0.779
Be: 0.413 0.413 0.413
Be: 0.587 0.587 0.587
V: 0.000 0.000 0.000
O: 0.245 0.245 0.741
O: 0.245 0.741 0.245
O: 0.259 0.755 0.755
O: 0.741 0.245 0.245
O: 0.755 0.259 0.755
O: 0.755 0.755 0.259